# 1
Theoretical X-ray diffraction stick pattern
Compound: Cr13Re3
Radiation: copper Kα
Structure: the GGA-PBE geometry in Alexandria
Neutral-atom scattering factors, no anomalous dispersion.

Cell and atoms:
abc: 5.8337 5.8384 5.8384
angles: 89.73 90.00 90.00
Positions (direct):
Cr 0.0000 0.0000 0.0000
Cr 0.0000 0.0001 0.5120
Cr 0.0000 0.5120 0.0001
Cr 0.0000 0.5134 0.5134
Cr 0.2464 0.7526 0.7526
Cr 0.2469 0.2594 0.7538
Cr 0.2469 0.7538 0.2594
Cr 0.5000 0.5107 0.9994
Cr 0.5000 0.5118 0.5118
Cr 0.5000 0.9994 0.5107
Cr 0.7531 0.2594 0.7538
Cr 0.7531 0.7538 0.2594
Cr 0.7536 0.7526 0.7526
Re 0.2470 0.2598 0.2598
Re 0.5000 0.9992 0.9992
Re 0.7530 0.2598 0.2598

Peak list (8 most intense, 2θ = 15–90°, in order of rising 2θ)
2θ (°)  d [Å]  I/Imax
15.18  5.838  27
21.58  4.119  12
34.34  2.612  18
43.75  2.069  20
43.90  2.063  100
63.78  1.459  18
80.48  1.193  12
80.76  1.190  18

# 2
Theoretical X-ray diffraction stick pattern
Compound: Zr2Ti2Br7
Radiation: copper Kα
Structure: the GGA-PBE geometry in Alexandria
Neutral-atom scattering factors, no anomalous dispersion.

Cell and atoms:
abc: 6.7694 6.7694 16.7413
angles: 91.75 91.75 131.23
Positions (direct):
Zr 0.0275 0.9317 0.5878
Zr 0.0683 0.9725 0.9122
Zr 0.9317 0.0275 0.0878
Zr 0.9725 0.0683 0.4122
Ti 0.3096 0.5113 0.9708
Ti 0.4887 0.6904 0.5292
Ti 0.5113 0.3096 0.4708
Ti 0.6904 0.4887 0.0292
Br 0.0259 0.9741 0.2500
Br 0.1438 0.8048 0.4512
Br 0.1952 0.8562 0.0488
Br 0.2239 0.7087 0.8508
Br 0.2913 0.7761 0.6492
Br 0.4288 0.5381 0.1213
Br 0.4619 0.5712 0.3787
Br 0.5381 0.4288 0.6213
Br 0.5712 0.4619 0.8787
Br 0.7087 0.2239 0.3508
Br 0.7761 0.2913 0.1492
Br 0.8048 0.1438 0.9512
Br 0.8562 0.1952 0.5488
Br 0.9741 0.0259 0.7500

Peak list (8 most intense, 2θ = 15–90°, in order of rising 2θ)
2θ (°)  d [Å]  I/Imax
29.47  3.031  24
32.11  2.787  100
33.22  2.697  55
35.38  2.537  42
35.73  2.513  24
39.16  2.300  23
43.79  2.067  22
45.97  1.974  26